Record 1
For Li7Ge2, a cell relaxed with PBE gives the computed powder X-ray diffraction pattern in this record (CuKα).
No peak broadening, texture or thermal motion is included.

Principal peaks in the range 15° ≤ 2θ ≤ 90°, in order of rising 2θ:
2θ 22.35, I 89
2θ 23.05, I 67
2θ 23.55, I 33
2θ 23.96, I 84
2θ 27.77, I 38
2θ 29.89, I 35
2θ 40.19, I 28
2θ 40.78, I 32
2θ 41.09, I 100
2θ 46.47, I 25

```
Li7Ge2
1.0
4.6022 -6.6171 0.0000
4.6022 6.6171 0.0000
0.0000 0.0000 4.4875
Li Ge
14 4
direct
0.0000 0.0000 0.0000 Li
0.0212 0.3429 0.0000 Li
0.1727 0.8273 0.5000 Li
0.1834 0.4999 0.5000 Li
0.3402 0.3402 0.0000 Li
0.3429 0.0212 0.0000 Li
0.4999 0.1834 0.5000 Li
0.5000 0.5000 0.5000 Li
0.5001 0.8166 0.5000 Li
0.6571 0.9788 0.0000 Li
0.6598 0.6598 0.0000 Li
0.8166 0.5001 0.5000 Li
0.8273 0.1727 0.5000 Li
0.9788 0.6571 0.0000 Li
0.1551 0.1551 0.5000 Ge
0.3204 0.6796 0.0000 Ge
0.6796 0.3204 0.0000 Ge
0.8449 0.8449 0.5000 Ge
```

Record 2
For Ni4BAs, a cell relaxed with PBE gives the computed powder X-ray diffraction pattern in this record (CuKα).
No peak broadening, texture or thermal motion is included.

Principal peaks in the range 15° ≤ 2θ ≤ 90°, in order of rising 2θ:
2θ 29.86, I 29
2θ 31.66, I 17
2θ 34.03, I 39
2θ 35.76, I 19
2θ 39.27, I 19
2θ 48.89, I 52
2θ 50.19, I 100
2θ 52.92, I 10
2θ 62.03, I 11
2θ 71.64, I 14

```
Ni4BAs
1.0
0.0000 3.7288 5.0222
3.7225 0.0000 5.0222
3.7225 3.7288 0.0000
Ni B As
8 2 2
direct
0.0002 0.4997 0.2229 Ni
0.9998 0.5003 0.7771 Ni
0.2229 0.7772 0.0002 Ni
0.2228 0.7771 0.5003 Ni
0.5003 0.9998 0.2228 Ni
0.4997 0.0002 0.7772 Ni
0.7771 0.2228 0.9998 Ni
0.7772 0.2229 0.4997 Ni
0.1250 0.1250 0.1250 B
0.8750 0.8750 0.8750 B
0.3750 0.3750 0.3750 As
0.6250 0.6250 0.6250 As
```

Record 3
For RbTl2TePt, a cell relaxed with PBE gives the computed powder X-ray diffraction pattern in this record (CuKα).
No peak broadening, texture or thermal motion is included.

Principal peaks in the range 15° ≤ 2θ ≤ 90°, in order of rising 2θ:
2θ 21.94, I 48
2θ 27.67, I 91
2θ 28.61, I 76
2θ 33.66, I 100
2θ 36.69, I 36
2θ 44.75, I 91
2θ 48.34, I 37
2θ 56.60, I 25
2θ 57.14, I 45
2θ 87.72, I 28

```
RbTl2TePt
1.0
5.3258 0.0000 0.0000
0.0000 5.3258 0.0000
0.0000 0.0000 6.2393
Rb Tl Te Pt
1 2 1 1
direct
0.0000 0.0000 0.0000 Rb
0.0000 0.5000 0.5000 Tl
0.5000 0.0000 0.5000 Tl
0.5000 0.5000 0.0000 Te
0.0000 0.0000 0.5000 Pt
```